1.
Calculated powder diffractogram of La2CdRh3 for a wavelength of 1.5418 Å, from a crystal structure in Alexandria, relaxed with PBE.
Kinematic intensities with the Lorentz-polarization factor, no thermal factor.

Top 10 peaks for 10° ≤ 2θ ≤ 90°, low angle first:
2θ/deg	I/Imax	h k l
32.0	38.2	2 1 0
32.6	83.2	1 1 4
34.4	21.3	0 1 5
36.1	100.0	2 1 3
36.4	17.6	2 0 5
36.7	17.3	3 0 1
42.6	35.6	3 0 4
42.7	41.9	0 2 0
61.9	13.4	3 2 4
71.3	13.0	2 1 11

Structure:
abc: 7.434 4.234 16.510
angles: 90.00 90.00 90.00
Space group Pnma (No. 62)
One atom of each set of equivalent atoms:
La  0.051  0.250  0.221
La  0.149  0.250  0.435
Cd  0.002  0.750  0.064
Rh  0.099  0.250  0.641
Rh  0.239  0.250  0.795
Rh  0.247  0.750  0.574


2.
Calculated powder diffractogram of UCl6 for a wavelength of 1.5418 Å, from a crystal structure in Alexandria, relaxed with PBE.
Kinematic intensities with the Lorentz-polarization factor, no thermal factor.

Top 10 peaks for 10° ≤ 2θ ≤ 90°, low angle first:
2θ/deg	I/Imax	h k l
14.6	38.8	1 0 1
14.9	88.6	0 2 0
15.4	100.0	2 1 0
16.4	60.9	1 1 1
20.9	30.4	1 2 1
24.0	26.6	3 0 1
29.4	23.5	2 3 1
33.1	32.5	3 0 2
43.3	19.0	5 0 2
45.8	21.8	0 6 0

Structure:
abc: 13.170 11.891 6.859
angles: 90.00 90.00 90.00
Space group Pnma (No. 62)
One atom of each set of equivalent atoms:
U  0.129  0.250  0.093
Cl  0.011  0.250  0.813
Cl  0.026  0.103  0.253
Cl  0.232  0.103  0.933
Cl  0.246  0.250  0.373


3.
Calculated powder diffractogram of Ba2LuB2ClO6 for a wavelength of 1.5418 Å, from a crystal structure in Alexandria, relaxed with PBE.
Kinematic intensities with the Lorentz-polarization factor, no thermal factor.

Top 10 peaks for 10° ≤ 2θ ≤ 90°, low angle first:
2θ/deg	I/Imax	h k l
21.8	65.7	1 1 0
23.7	31.6	1 1 1
26.1	26.9	1 0 -3
28.3	19.9	2 0 -1
29.0	100.0	0 1 3
29.9	18.9	2 0 1
33.8	32.4	0 2 0
35.1	21.1	2 1 -2
37.8	16.0	2 1 2
43.2	24.6	1 2 -3

Structure:
abc: 6.410 5.300 11.427
angles: 90.00 96.05 90.00
Space group P2_1/m (No. 11)
One atom of each set of equivalent atoms:
Ba  0.092  0.250  0.204
Ba  0.345  0.250  0.579
Lu  0.348  0.250  0.915
B  0.209  0.750  0.069
B  0.379  0.750  0.731
Cl  0.148  0.750  0.413
O  0.004  0.750  0.092
O  0.297  0.525  0.770
O  0.325  0.530  0.061
O  0.479  0.250  0.352


4.
Calculated powder diffractogram of Ac2ScSn2 for a wavelength of 1.5418 Å, from a crystal structure in Alexandria, relaxed with PBE.
Kinematic intensities with the Lorentz-polarization factor, no thermal factor.

Top 10 peaks for 10° ≤ 2θ ≤ 90°, low angle first:
2θ/deg	I/Imax	h k l
18.7	32.5	1 1 0
22.7	32.5	0 4 1
23.5	63.1	0 2 2
25.9	99.6	1 3 1
28.5	41.7	1 1 2
31.0	73.7	1 5 0
31.9	100.0	1 3 2
36.6	50.5	2 0 0
44.6	33.6	0 6 3
59.0	30.1	2 6 3

Structure:
abc: 4.916 17.777 8.355
angles: 90.00 90.00 90.00
Space group Cmc2_1 (No. 36)
One atom of each set of equivalent atoms:
Ac  0.000  0.032  0.000
Ac  0.000  0.207  0.338
Sc  0.000  0.405  0.147
Sn  0.000  0.170  0.732
Sn  0.000  0.435  0.792


5.
Calculated powder diffractogram of LaSnPdPt3 for a wavelength of 1.5418 Å, from a crystal structure in Alexandria, relaxed with PBE.
Kinematic intensities with the Lorentz-polarization factor, no thermal factor.

Top 10 peaks for 10° ≤ 2θ ≤ 90°, low angle first:
2θ/deg	I/Imax	h k l
15.1	47.6	0 2 0
28.1	62.5	0 2 2
34.6	36.4	2 2 0
38.9	78.4	0 4 2
39.2	100.0	2 0 2
44.0	55.1	2 4 0
48.2	28.3	0 0 4
62.4	20.4	2 6 2
67.3	31.6	2 4 4
77.9	21.1	4 4 2

Structure:
abc: 5.786 11.711 7.555
angles: 90.00 90.00 90.00
Space group Cmcm (No. 63)
One atom of each set of equivalent atoms:
La  0.000  0.171  0.250
Sn  0.000  0.129  0.750
Pd  0.000  0.398  0.250
Pt  0.000  0.355  0.750
Pt  0.245  0.000  0.000


6.
Calculated powder diffractogram of LaHo2TmBi4 for a wavelength of 1.5418 Å, from a crystal structure in Alexandria, relaxed with PBE.
Kinematic intensities with the Lorentz-polarization factor, no thermal factor.

Top 10 peaks for 10° ≤ 2θ ≤ 90°, low angle first:
2θ/deg	I/Imax	h k l
27.9	100.0	2 0 0
39.9	78.3	2 2 0
49.4	28.4	2 2 4
57.6	9.1	4 0 0
57.8	4.4	0 0 8
65.2	25.1	4 2 0
65.4	12.2	2 0 8
72.4	18.6	4 2 4
72.5	9.1	2 2 8
86.1	6.0	4 0 8

Structure:
abc: 6.399 6.399 12.766
angles: 90.00 90.00 90.00
Space group I4/mmm (No. 139)
One atom of each set of equivalent atoms:
La  0.000  0.000  0.000
Ho  0.000  0.500  0.250
Tm  0.000  0.000  0.500
Bi  0.000  0.000  0.256
Bi  0.000  0.500  0.000


7.
Calculated powder diffractogram of Cu5SiPt6 for a wavelength of 1.5418 Å, from a crystal structure in Alexandria, relaxed with PBE.
Kinematic intensities with the Lorentz-polarization factor, no thermal factor.

Top 10 peaks for 10° ≤ 2θ ≤ 90°, low angle first:
2θ/deg	I/Imax	h k l
26.1	20.8	0 0 2
31.4	27.4	1 3 0
41.3	100.0	1 3 2
44.9	20.2	2 0 0
45.1	19.5	0 6 0
53.7	10.9	0 0 4
65.5	12.7	2 6 0
80.3	14.3	3 3 2
80.6	13.4	1 9 2
89.7	10.4	2 6 4

Structure:
abc: 4.036 12.060 6.822
angles: 90.00 90.00 90.00
Space group Cmmm (No. 65)
One atom of each set of equivalent atoms:
Cu  0.000  0.000  0.000
Cu  0.000  0.324  0.500
Cu  0.000  0.335  0.000
Si  0.000  0.000  0.500
Pt  0.000  0.163  0.252
Pt  0.000  0.500  0.272


Which formula does entry 6 have? LaHo2TmBi4